Diffraction record for Nd5Bi3. The X-ray powder pattern is calculated, not measured: it uses the PBE geometry in the Materials Project and Cu Ka.
Peak positions follow from Bragg's law for the DFT cell and can differ from measured ones.

Principal peaks in the range 2θ = 10–90°, in order of falling intensity:
- d = 2.822 Å, 2θ = 31.7°, rel. 100, hkl 1 3 1
- d = 2.709 Å, 2θ = 33.1°, rel. 79, hkl 3 1 2
- d = 2.754 Å, 2θ = 32.5°, rel. 59, hkl 6 0 0
- d = 1.795 Å, 2θ = 50.9°, rel. 27, hkl 1 3 3
- d = 3.291 Å, 2θ = 27.1°, rel. 25, hkl 0 0 2
- d = 2.164 Å, 2θ = 41.7°, rel. 22, hkl 7 1 1

Crystal structure
```
data_Nd5Bi3
_chemical_formula_sum 'Nd20 Bi12'
_cell_length_a 16.5185
_cell_length_b 9.5468
_cell_length_c 6.5818
_cell_angle_alpha 90.00
_cell_angle_beta 90.00
_cell_angle_gamma 90.00
_space_group_name_H-M_alt 'C m c m'
_space_group_IT_number 63
_space_group_name_Hall '-C 2c 2'
loop_
_atom_site_label
_atom_site_type_symbol
_atom_site_fract_x
_atom_site_fract_y
_atom_site_fract_z
Nd1 Nd 0.0000 0.2487 0.2500
Nd2 Nd 0.1242 0.1239 0.7500
Nd3 Nd 0.1666 0.5000 0.0000
Bi1 Bi 0.0000 0.3868 0.7500
Bi2 Bi 0.1935 0.1935 0.2500
```